The following is a computed PXRD pattern of Na2CaV4O12. It was derived from a PBE+U-relaxed structure, using copper Kα.
No peak broadening, texture or thermal motion is included.

Principal peaks in the range 10° ≤ 2θ ≤ 80°, most intense first:
2theta, Rel. int., hkl
29.80, 100, 2 2 1
23.87, 32, 2 2 0
17.57, 31, 0 0 1
21.26, 28, 1 1 1
50.04, 22, 4 0 2
35.50, 20, 0 0 2
58.29, 18, 6 2 1
34.02, 17, 4 0 0
48.87, 13, 4 4 0
60.36, 10, 2 2 3

Structure:
abc: 10.542 10.542 5.048
angles: 90.00 90.00 90.00
Space group P4/nbm (No. 125, origin choice 2)
Asymmetric unit:
Na1 0.000 0.000 0.000 [4 per cell]
Ca1 0.250 0.250 0.000 [2 per cell]
V1 0.027 0.750 0.500 [8 per cell]
O1 0.061 0.184 0.257 [16 per cell]
O2 0.128 0.628 0.647 [8 per cell]